Diffraction record for ZrV2H3. The powder X-ray diffraction pattern is calculated, not measured: it uses a GGA-PBE-relaxed structure and Cu Kα (λ = 1.5418 Å).

Structure:
Cell lengths 7.335, 7.335, 4.887 Å; angles 96.23, 96.23, 25.90 degrees
Sites, in units of the cell vectors:
1 Zr 0.094 0.094 0.210
2 Zr 0.906 0.906 0.790
3 V 0.243 0.243 0.765
4 V 0.400 0.400 0.290
5 V 0.600 0.600 0.710
6 V 0.757 0.757 0.235
7 H 0.053 0.053 0.795
8 H 0.283 0.283 0.406
9 H 0.465 0.465 0.641
10 H 0.535 0.535 0.359
11 H 0.717 0.717 0.594
12 H 0.947 0.947 0.205

Peak list (10 most intense, 2θ = 5–70°, sorted by position)
| d/Å | I (rel.) |
| --- | --- |
| 3.552 | 91 |
| 2.705 | 111 |
| 2.427 | 1000 |
| 2.368 | 317 |
| 2.299 | 679 |
| 1.644 | 119 |
| 1.608 | 107 |
| 1.361 | 96 |
| 1.351 | 105 |
| 1.350 | 144 |



Diffraction record for RbCoTeI2. The powder X-ray diffraction pattern is calculated, not measured: it uses a GGA-PBE-relaxed structure and Cu Kα (λ = 1.5418 Å).

Structure:
Cell lengths 5.878, 5.878, 4.986 Å; angles 90.00, 90.00, 90.00 degrees
Sites, in units of the cell vectors:
1 Rb 0.000 0.000 0.000
2 Co 0.500 0.500 0.500
3 Te 0.500 0.500 0.000
4 I 0.000 0.500 0.500
5 I 0.500 0.000 0.500

Peak list (10 most intense, 2θ = 5–70°, sorted by position)
| d/Å | I (rel.) |
| --- | --- |
| 5.878 | 139 |
| 3.193 | 1000 |
| 2.939 | 692 |
| 2.493 | 218 |
| 2.078 | 254 |
| 1.901 | 384 |
| 1.742 | 341 |
| 1.596 | 216 |
| 1.543 | 115 |
| 1.469 | 82 |



Repeat the first record exactly.
Diffraction record for ZrV2H3. The powder X-ray diffraction pattern is calculated, not measured: it uses a GGA-PBE-relaxed structure and Cu Kα (λ = 1.5418 Å).

Structure:
Cell lengths 7.335, 7.335, 4.887 Å; angles 96.23, 96.23, 25.90 degrees
Sites, in units of the cell vectors:
1 Zr 0.094 0.094 0.210
2 Zr 0.906 0.906 0.790
3 V 0.243 0.243 0.765
4 V 0.400 0.400 0.290
5 V 0.600 0.600 0.710
6 V 0.757 0.757 0.235
7 H 0.053 0.053 0.795
8 H 0.283 0.283 0.406
9 H 0.465 0.465 0.641
10 H 0.535 0.535 0.359
11 H 0.717 0.717 0.594
12 H 0.947 0.947 0.205

Peak list (10 most intense, 2θ = 5–70°, sorted by position)
| d/Å | I (rel.) |
| --- | --- |
| 3.552 | 91 |
| 2.705 | 111 |
| 2.427 | 1000 |
| 2.368 | 317 |
| 2.299 | 679 |
| 1.644 | 119 |
| 1.608 | 107 |
| 1.361 | 96 |
| 1.351 | 105 |
| 1.350 | 144 |